Simulated PXRD pattern
Compound: Cu7S2O21
Radiation: Cu Kα, 1.54184 Å
Structure: a crystal structure in the Materials Project, relaxed with GGA-PBE
Intensities are scaled so that the largest is 100.

```
30
Lattice="7.939 0.000 0.000 -3.970 6.876 0.000 0.000 0.000 7.496" Properties=species:S:1:pos:R:3 pbc="T T T"
Cu 0.000 0.000 0.000
Cu -0.643 2.922 7.405
Cu -1.118 5.972 7.405
Cu 2.208 2.018 0.091
Cu 1.761 4.858 7.405
Cu 5.087 0.904 0.091
Cu 4.613 3.954 0.091
S 0.000 4.584 4.357
S 3.970 2.292 3.139
O 0.000 0.000 3.748
O -2.723 5.878 6.503
O -1.571 4.340 0.722
O 0.240 1.578 6.503
O -0.466 3.268 3.901
O 1.487 0.581 0.993
O -0.907 5.645 3.901
O 0.000 4.584 5.896
O 0.996 3.345 0.722
O 2.597 2.037 3.595
O 3.395 0.810 6.774
O 0.575 6.066 0.722
O 1.373 4.839 3.901
O 2.974 3.530 6.774
O 3.970 2.292 1.600
O 4.877 1.231 3.595
O 2.483 6.295 6.503
O 4.435 3.608 3.595
O 3.729 5.297 0.993
O 5.540 2.535 6.774
O 6.693 0.997 0.993
```

Largest 10 diffraction maxima, by angle, 2θ = 10–90°:
11.81 deg, rel. 100, (0 0 1); 17.50 deg, rel. 8, (1 0 1); 23.74 deg, rel. 38, (0 0 2); 34.51 deg, rel. 21, (1 2 0); 36.60 deg, rel. 26, (3 -1 1); 42.32 deg, rel. 38, (3 -1 2); 50.68 deg, rel. 15, (3 -1 3); 60.95 deg, rel. 14, (1 2 4); 61.84 deg, rel. 11, (4 1 0); 67.21 deg, rel. 8, (4 1 2)